The following is a simulated X-ray powder pattern of NdErH2O4. It was derived from the PBE geometry in OQMD, using CuKα.
No peak broadening, texture or thermal motion is included.

Structural model:
```
8
Lattice="4.3364 0.0000 0.0000 0.0000 3.6574 0.0000 -1.9856 0.0000 5.7127" Properties=species:S:1:pos:R:3 pbc="T T T"
Nd 0.0000 0.0000 0.0000
Er 2.1462 1.8287 2.1966
H -0.1272 1.8287 4.2345
H 0.2962 0.0000 3.2969
O -1.0998 1.8287 4.2375
O -0.0346 1.8287 1.4751
O 1.2395 0.0000 3.5377
O 2.1923 0.0000 0.8914
```

Main lines, by angle (2θ from 10° to 90°):
2theta, I_rel
22.2, 44.9
29.0, 100.0
30.8, 49.9
32.8, 34.8
33.2, 51.1
51.1, 50.2

---

The following is a simulated X-ray powder pattern of AgPdNO. It was derived from the PBE geometry in OQMD, using CuKα.
No peak broadening, texture or thermal motion is included.

Structural model:
```
8
Lattice="3.3093 0.0000 0.0000 0.0000 5.6772 0.0000 0.0000 0.0000 5.8955" Properties=species:S:1:pos:R:3 pbc="T T T"
Ag 0.0000 0.9371 0.0000
Ag 0.0000 4.7401 2.9478
Pd 1.6547 2.3627 3.0109
Pd 1.6547 3.3145 0.0631
N 1.6547 1.7273 1.1872
N 1.6547 3.9500 4.1349
O 0.0000 1.1496 3.6335
O 0.0000 4.5276 0.6858
```

Main lines, by angle (2θ from 10° to 90°):
2theta, I_rel
30.3, 89.2
31.3, 92.6
34.9, 100.0
35.1, 88.1
44.1, 60.0
56.9, 34.3

---

The following is a simulated X-ray powder pattern of RbHfAg3Te4. It was derived from the PBE geometry in OQMD, using CuKα.
No peak broadening, texture or thermal motion is included.

Structural model:
```
18
Lattice="6.6143 0.0000 0.0000 0.0000 8.5651 0.0000 -3.1206 0.0000 10.4312" Properties=species:S:1:pos:R:3 pbc="T T T"
Rb -0.0083 2.1413 4.0602
Rb 3.5020 6.4238 6.3711
Hf 1.7355 6.4238 2.2334
Hf 1.7582 2.1413 8.1978
Ag -1.5729 2.1413 8.2335
Ag 1.9011 0.2376 0.0293
Ag 1.9011 4.0450 0.0293
Ag 1.5926 4.5201 10.4019
Ag 1.5926 8.3275 10.4019
Ag 5.0666 6.4238 2.1977
Te -2.8375 6.4238 10.2582
Te 0.1605 6.4238 4.4092
Te 0.1963 4.4097 7.9388
Te 0.1963 8.4379 7.9388
Te 3.2974 0.1272 2.4924
Te 3.2974 4.1554 2.4924
Te 3.3332 2.1413 6.0221
Te 6.3312 2.1413 0.1730
```

Main lines, by angle (2θ from 10° to 90°):
2theta, I_rel
13.4, 94.6
25.1, 96.7
25.2, 69.8
38.3, 97.0
38.7, 100.0
42.2, 48.2

---

The following is a simulated X-ray powder pattern of DyEr6Ir2Se2. It was derived from the PBE geometry in OQMD, using CuKα.
No peak broadening, texture or thermal motion is included.

Structural model:
```
11
Lattice="-1.9350 7.5408 4.5767 1.9350 -7.5408 4.5767 1.9350 7.5408 -4.5767" Properties=species:S:1:pos:R:3 pbc="T T T"
Dy 0.0000 0.0000 0.0000
Er 1.9350 2.7538 -1.1568
Er 1.9350 -2.1297 2.2084
Er 1.9350 2.1297 2.2084
Er 1.9350 5.6661 0.7852
Er 0.0000 4.7870 3.4199
Er 0.0000 1.8747 5.3619
Ir 0.0000 3.6112 0.6726
Ir 0.0000 11.4704 0.6726
Se 0.0000 0.0000 3.1030
Se 0.0000 7.5408 2.2111
```

Main lines, by angle (2θ from 10° to 90°):
2theta, I_rel
11.7, 30.1
30.8, 41.7
34.4, 35.6
34.6, 100.0
35.2, 37.0
39.4, 31.9

---

The following is a simulated X-ray powder pattern of Dy2TmPdPt2Pb3. It was derived from the PBE geometry in OQMD, using CuKα.
No peak broadening, texture or thermal motion is included.

Structural model:
```
9
Lattice="3.9230 0.0000 0.0000 0.0000 6.7077 3.8880 0.0000 -6.7077 3.8880" Properties=species:S:1:pos:R:3 pbc="T T T"
Dy 0.0000 -3.9821 3.8880
Dy 0.0000 3.9821 3.8880
Tm 0.0000 0.0000 3.0339
Pd 0.0000 0.0000 6.1785
Pt 1.9615 -2.2116 2.3186
Pt 1.9615 2.2116 2.3186
Pb 1.9615 0.0000 0.4592
Pb 1.9615 -1.7624 5.1763
Pb 1.9615 1.7624 5.1763
```

Main lines, by angle (2θ from 10° to 90°):
2theta, I_rel
32.5, 100.0
35.2, 76.5
35.3, 36.5
40.2, 29.3
46.3, 24.4
59.5, 24.2

---

The following is a simulated X-ray powder pattern of TeMoSeS2Br. It was derived from the PBE geometry in OQMD, using CuKα.
No peak broadening, texture or thermal motion is included.

Structural model:
```
12
Lattice="6.3941 0.0000 0.0000 -1.0908 7.9782 0.0000 -3.1874 -3.4475 6.6016" Properties=species:S:1:pos:R:3 pbc="T T T"
Te -0.0032 2.0532 1.1014
Te 2.1191 2.4775 5.5002
Mo 1.4580 0.0076 0.0065
Mo 0.6579 4.5231 6.5951
Se -1.0868 6.4871 1.5072
Se 3.2026 -1.9564 5.0944
S -1.0910 3.9575 4.8310
S -1.0888 2.7367 6.4776
S 3.2047 1.7940 0.1239
S 3.2069 0.5732 1.7706
Br -0.0003 -0.1171 4.0214
Br 2.1161 4.6478 2.5801
```

Main lines, by angle (2θ from 10° to 90°):
2theta, I_rel
12.5, 56.3
13.4, 100.0
15.1, 32.3
23.9, 39.3
33.9, 38.2
42.9, 36.4

---

The following is a simulated X-ray powder pattern of Ag3SbS3. It was derived from the PBE geometry in OQMD, using CuKα.
No peak broadening, texture or thermal motion is included.

Structural model:
```
14
Lattice="5.6098 3.2388 3.0213 -5.6098 3.2388 3.0213 0.0000 -6.4776 3.0213" Properties=species:S:1:pos:R:3 pbc="T T T"
Ag -0.9805 -2.8506 3.0213
Ag -3.6313 -0.9643 4.5320
Ag -1.9785 2.2745 3.0213
Ag 2.6508 -2.6627 4.5320
Ag 2.9590 0.5761 3.0213
Ag 0.9805 3.6270 4.5320
Sb 0.0000 0.0000 0.3740
Sb 0.0000 0.0000 4.9060
S -3.7580 2.1380 4.6628
S 0.0275 -4.3235 4.6628
S -1.8518 -1.1009 6.1735
S -0.0275 2.1542 6.1735
S 1.8793 -1.0533 6.1735
S 3.7305 2.1855 4.6628
```

Main lines, by angle (2θ from 10° to 90°):
2theta, I_rel
26.2, 75.0
26.9, 42.0
31.4, 100.0
33.7, 54.8
34.7, 56.4
52.8, 38.2

---

The following is a simulated X-ray powder pattern of ErTe3PSe. It was derived from the PBE geometry in OQMD, using CuKα.
No peak broadening, texture or thermal motion is included.

Structural model:
```
12
Lattice="7.1091 0.0000 0.0000 1.1032 7.3785 0.0000 0.3638 0.3800 8.0654" Properties=species:S:1:pos:R:3 pbc="T T T"
Er 1.7074 1.5573 0.5017
Er 6.8688 6.2012 7.5637
Te 0.7945 0.4750 6.0456
Te 1.7257 4.0901 6.2083
Te 3.6570 5.8137 0.8792
Te 4.9191 1.9449 7.1862
Te 6.8504 3.6684 1.8571
Te 7.7817 7.2835 2.0198
P 3.4078 5.9170 6.5370
P 5.1684 1.8415 1.5284
Se 3.3385 2.0996 2.7326
Se 5.2377 5.6589 5.3328
```

Main lines, by angle (2θ from 10° to 90°):
2theta, I_rel
11.0, 100.0
26.5, 35.5
28.1, 50.0
29.0, 29.4
36.2, 35.8
47.4, 20.1

---

The following is a simulated X-ray powder pattern of P4H12OsCl2. It was derived from the PBE geometry in OQMD, using CuKα.
No peak broadening, texture or thermal motion is included.

Structural model:
```
38
Lattice="6.5120 0.0000 0.0000 0.0000 6.5120 0.0000 0.0000 0.0000 11.5394" Properties=species:S:1:pos:R:3 pbc="T T T"
P 1.1724 1.1724 1.6039
P 1.1724 1.1724 9.9355
P 2.0836 4.4284 4.1658
P 2.0836 4.4284 7.3736
P 4.4284 2.0836 4.1658
P 4.4284 2.0836 7.3736
P 5.3396 5.3396 1.6039
P 5.3396 5.3396 9.9355
H 0.6632 4.3222 4.1622
H 0.6632 4.3222 7.3772
H 0.9276 0.9276 2.9896
H 0.9276 0.9276 8.5498
H 1.0662 2.5928 1.6075
H 1.0662 2.5928 9.9319
H 2.1898 5.8488 4.1622
H 2.1898 5.8488 7.3772
H 2.3284 4.1835 2.7801
H 2.3284 4.1835 8.7593
H 2.5928 1.0662 1.6075
H 2.5928 1.0662 9.9319
H 3.9192 5.4458 1.6075
H 3.9192 5.4458 9.9319
H 4.1835 2.3284 2.7801
H 4.1835 2.3284 8.7593
H 4.3222 0.6632 4.1622
H 4.3222 0.6632 7.3772
H 5.4458 3.9192 1.6075
H 5.4458 3.9192 9.9319
H 5.5844 5.5844 2.9896
H 5.5844 5.5844 8.5498
H 5.8488 2.1898 4.1622
H 5.8488 2.1898 7.3772
Os 0.0000 0.0000 0.0000
Os 3.2560 3.2560 5.7697
Cl 1.5213 1.5213 5.7697
Cl 1.7347 4.7772 0.0000
Cl 4.7772 1.7347 0.0000
Cl 4.9907 4.9907 5.7697
```

Main lines, by angle (2θ from 10° to 90°):
2theta, I_rel
15.4, 30.1
15.6, 100.0
19.3, 29.4
24.7, 24.6
31.7, 24.3
38.8, 22.5

---

The following is a simulated X-ray powder pattern of Rb2HgCl4. It was derived from the PBE geometry in OQMD, using CuKα.
No peak broadening, texture or thermal motion is included.

Structural model:
```
14
Lattice="7.5709 0.0000 0.0000 0.0000 7.3421 0.0000 -2.9773 0.0000 8.7357" Properties=species:S:1:pos:R:3 pbc="T T T"
Rb 1.4083 0.0000 0.4533
Rb 0.3114 0.0263 4.9421
Rb 4.2822 3.6974 3.7936
Rb 3.1854 3.6711 8.2823
Hg -0.5520 3.7146 6.9899
Hg 5.1457 0.0436 1.7458
Cl -0.7712 1.9185 2.3088
Cl -2.1731 1.8206 6.4551
Cl 2.9701 3.8147 0.7139
Cl 1.4527 3.7412 5.4828
Cl 3.1410 0.0701 3.2529
Cl 1.6235 0.1437 8.0218
Cl 6.7668 5.4917 2.2805
Cl 5.3649 5.5896 6.4269
```

Main lines, by angle (2θ from 10° to 90°):
2theta, I_rel
13.2, 65.9
15.8, 100.0
24.2, 74.3
29.3, 71.0
29.8, 81.9
35.0, 63.3

---

The following is a simulated X-ray powder pattern of TmHgI4. It was derived from the PBE geometry in OQMD, using CuKα.
No peak broadening, texture or thermal motion is included.

Structural model:
```
6
Lattice="4.6234 0.0000 0.0000 0.0000 4.6234 0.0000 0.0000 0.0000 12.6258" Properties=species:S:1:pos:R:3 pbc="T T T"
Tm 0.0000 0.0000 0.0000
Hg 2.3117 2.3117 6.3129
I 0.0000 2.3117 1.7609
I 0.0000 2.3117 8.1041
I 2.3117 0.0000 4.5217
I 2.3117 0.0000 10.8649
```

Main lines, by angle (2θ from 10° to 90°):
2theta, I_rel
20.5, 78.0
23.9, 100.0
28.7, 34.5
30.8, 46.2
39.0, 42.6
39.7, 74.0

---

The following is a simulated X-ray powder pattern of ZnIr15. It was derived from the PBE geometry in OQMD, using CuKα.
No peak broadening, texture or thermal motion is included.

Structural model:
```
32
Lattice="7.7276 0.0000 0.0000 0.0000 2.7274 0.0000 -0.0006 0.0000 35.5732" Properties=species:S:1:pos:R:3 pbc="T T T"
Zn 0.9641 0.6819 7.6084
Zn 6.7629 2.0456 27.9648
Ir 0.9675 0.6819 10.2667
Ir 0.9674 0.6819 12.9887
Ir 0.9640 0.6819 15.7150
Ir 0.9642 0.6819 18.4761
Ir 0.9661 0.6819 23.9537
Ir 0.9733 0.6819 21.2159
Ir 0.9805 0.6819 26.7361
Ir 2.8966 2.0456 11.6200
Ir 2.8952 2.0456 17.0910
Ir 2.8953 2.0456 19.8340
Ir 2.8979 2.0456 22.5957
Ir 2.8989 2.0456 25.2834
Ir 2.8952 2.0456 27.9425
Ir 2.9051 2.0456 14.3642
Ir 2.9124 2.0456 8.8322
Ir 4.8146 0.6819 26.7410
Ir 4.8218 0.6819 21.2090
Ir 4.8318 0.6819 7.6307
Ir 4.8280 0.6819 10.2898
Ir 4.8290 0.6819 12.9775
Ir 4.8316 0.6819 15.7391
Ir 4.8317 0.6819 18.4822
Ir 4.8303 0.6819 23.9532
Ir 6.7465 2.0456 8.8371
Ir 6.7536 2.0456 14.3573
Ir 6.7608 2.0456 11.6195
Ir 6.7628 2.0456 17.0970
Ir 6.7630 2.0456 19.8582
Ir 6.7596 2.0456 22.5845
Ir 6.7594 2.0456 25.3065
```

Main lines, by angle (2θ from 10° to 90°):
2theta, I_rel
38.3, 15.5
40.4, 100.0
40.6, 26.4
47.1, 57.5
68.7, 21.2
83.0, 16.4